No. 1
This entry pairs a crystal structure of Dy2Er5Te2Ir2 with its simulated XRD peak list. Radiation: Cu Kα. Structure: a GGA-PBE-relaxed structure.

Most intense lines, 10° ≤ 2θ ≤ 90°, by angle:
2θ (°)	d (Å)	intensity
11.3	7.821	23
30.1	2.969	19
30.2	2.958	37
33.3	2.690	44
33.8	2.656	100
34.4	2.608	47
36.7	2.450	23
38.5	2.338	27
46.3	1.959	27
58.3	1.584	18

Structural model:
```
data_Dy2Er5Te2Ir2
_symmetry_space_group_name_H-M 'P 1'
_symmetry_Int_Tables_number 1
_cell_length_a 9.337
_cell_length_b 9.337
_cell_length_c 9.337
_cell_angle_alpha 155.78
_cell_angle_beta 66.23
_cell_angle_gamma 119.41
loop_
_symmetry_equiv_pos_as_xyz
'x,y,z'
loop_
_atom_site_label
_atom_site_fract_x
_atom_site_fract_y
_atom_site_fract_z
Dy1 0.131 0.000 0.131
Dy2 0.869 0.000 0.869
Er1 0.105 0.790 0.315
Er2 0.418 0.418 0.000
Er3 0.475 0.790 0.685
Er4 0.502 0.149 0.354
Er5 0.795 0.149 0.646
Te1 0.155 0.655 0.500
Te2 0.753 0.753 0.000
Ir1 0.253 0.490 0.763
Ir2 0.727 0.490 0.237
```



No. 2
This entry pairs a crystal structure of ErTm2Ga4Pt with its simulated XRD peak list. Radiation: Cu Kα. Structure: a GGA-PBE-relaxed structure.

Most intense lines, 10° ≤ 2θ ≤ 90°, by angle:
2θ (°)	d (Å)	intensity
27.6	3.230	20
27.8	3.206	20
30.3	2.951	29
33.7	2.662	100
36.9	2.434	73
39.0	2.308	42
41.1	2.197	28
46.6	1.948	26
55.7	1.650	17
62.4	1.489	21

Structural model:
```
data_ErTm2Ga4Pt
_symmetry_space_group_name_H-M 'P 1'
_symmetry_Int_Tables_number 1
_cell_length_a 6.412
_cell_length_b 3.896
_cell_length_c 13.298
_cell_angle_alpha 90.00
_cell_angle_beta 90.00
_cell_angle_gamma 90.00
loop_
_symmetry_equiv_pos_as_xyz
'x,y,z'
loop_
_atom_site_label
_atom_site_fract_x
_atom_site_fract_y
_atom_site_fract_z
Er1 0.000 0.000 0.000
Er2 0.000 0.500 0.500
Tm1 0.000 0.000 0.271
Tm2 0.000 0.500 0.771
Tm3 0.500 0.000 0.809
Tm4 0.500 0.500 0.309
Ga1 0.237 0.000 0.637
Ga2 0.237 0.500 0.137
Ga3 0.307 0.000 0.446
Ga4 0.307 0.500 0.946
Ga5 0.693 0.000 0.446
Ga6 0.693 0.500 0.946
Ga7 0.763 0.000 0.637
Ga8 0.763 0.500 0.137
Pt1 0.500 0.000 0.078
Pt2 0.500 0.500 0.578
```



No. 3
This entry pairs a crystal structure of Dy2ErFe8Co with its simulated XRD peak list. Radiation: Cu Kα. Structure: a GGA-PBE-relaxed structure.

Most intense lines, 10° ≤ 2θ ≤ 90°, by angle:
2θ (°)	d (Å)	intensity
20.7	4.299	14
33.1	2.709	52
35.6	2.522	57
36.1	2.485	36
41.5	2.176	38
42.3	2.138	100
62.3	1.490	17
64.3	1.449	13
68.5	1.370	23
75.4	1.261	20

Structural model:
```
data_Dy2ErFe8Co
_symmetry_space_group_name_H-M 'P 1'
_symmetry_Int_Tables_number 1
_cell_length_a 8.567
_cell_length_b 8.567
_cell_length_c 8.567
_cell_angle_alpha 34.25
_cell_angle_beta 34.25
_cell_angle_gamma 34.25
loop_
_symmetry_equiv_pos_as_xyz
'x,y,z'
loop_
_atom_site_label
_atom_site_fract_x
_atom_site_fract_y
_atom_site_fract_z
Dy1 0.142 0.142 0.142
Dy2 0.858 0.858 0.858
Er1 0.000 0.000 0.000
Fe1 0.082 0.582 0.582
Fe2 0.333 0.333 0.333
Fe3 0.418 0.418 0.918
Fe4 0.418 0.918 0.418
Fe5 0.582 0.082 0.582
Fe6 0.582 0.582 0.082
Fe7 0.667 0.667 0.667
Fe8 0.918 0.418 0.418
Co1 0.500 0.500 0.500
```



No. 4
This entry pairs a crystal structure of Zr2Ni3 with its simulated XRD peak list. Radiation: Cu Kα. Structure: a GGA-PBE-relaxed structure.

Most intense lines, 10° ≤ 2θ ≤ 90°, by angle:
2θ (°)	d (Å)	intensity
33.3	2.693	5
38.4	2.343	32
39.1	2.303	34
42.2	2.141	100
56.0	1.643	21
66.2	1.411	6
72.1	1.310	15
73.0	1.296	18
79.3	1.209	5
79.7	1.203	7

Structural model:
```
data_Zr2Ni3
_symmetry_space_group_name_H-M 'P 1'
_symmetry_Int_Tables_number 1
_cell_length_a 7.433
_cell_length_b 7.433
_cell_length_c 4.607
_cell_angle_alpha 90.00
_cell_angle_beta 90.00
_cell_angle_gamma 36.75
loop_
_symmetry_equiv_pos_as_xyz
'x,y,z'
loop_
_atom_site_label
_atom_site_fract_x
_atom_site_fract_y
_atom_site_fract_z
Zr1 0.127 0.652 0.750
Zr2 0.348 0.873 0.750
Zr3 0.652 0.127 0.250
Zr4 0.873 0.348 0.250
Ni1 0.079 0.516 0.250
Ni2 0.288 0.712 0.250
Ni3 0.484 0.921 0.250
Ni4 0.516 0.079 0.750
Ni5 0.712 0.288 0.750
Ni6 0.921 0.484 0.750
```



No. 5
This entry pairs a crystal structure of HoErAg2O4 with its simulated XRD peak list. Radiation: Cu Kα. Structure: a GGA-PBE-relaxed structure.

Most intense lines, 10° ≤ 2θ ≤ 90°, by angle:
2θ (°)	d (Å)	intensity
14.2	6.255	14
28.5	3.127	37
30.8	2.902	35
33.3	2.693	100
41.8	2.159	16
53.2	1.723	27
53.6	1.709	31
61.4	1.509	26
64.2	1.451	15
88.0	1.110	13

Structural model:
```
data_HoErAg2O4
_symmetry_space_group_name_H-M 'P 1'
_symmetry_Int_Tables_number 1
_cell_length_a 3.445
_cell_length_b 3.445
_cell_length_c 12.509
_cell_angle_alpha 90.00
_cell_angle_beta 90.00
_cell_angle_gamma 120.00
loop_
_symmetry_equiv_pos_as_xyz
'x,y,z'
loop_
_atom_site_label
_atom_site_fract_x
_atom_site_fract_y
_atom_site_fract_z
Ho1 0.000 0.000 0.000
Er1 0.000 0.000 0.500
Ag1 0.333 0.667 0.750
Ag2 0.667 0.333 0.250
O1 0.333 0.667 0.584
O2 0.333 0.667 0.915
O3 0.667 0.333 0.085
O4 0.667 0.333 0.416
```



No. 6
This entry pairs a crystal structure of Hf3As4Pt4 with its simulated XRD peak list. Radiation: Cu Kα. Structure: a GGA-PBE-relaxed structure.

Most intense lines, 10° ≤ 2θ ≤ 90°, by angle:
2θ (°)	d (Å)	intensity
16.1	5.498	16
25.2	3.538	94
41.4	2.183	52
41.8	2.159	100
49.0	1.858	31
49.9	1.828	15
59.9	1.544	17
66.7	1.402	13
75.8	1.256	35
76.8	1.242	16

Structural model:
```
data_Hf3As4Pt4
_symmetry_space_group_name_H-M 'P 1'
_symmetry_Int_Tables_number 1
_cell_length_a 7.452
_cell_length_b 7.452
_cell_length_c 7.452
_cell_angle_alpha 131.05
_cell_angle_beta 131.05
_cell_angle_gamma 71.73
loop_
_symmetry_equiv_pos_as_xyz
'x,y,z'
loop_
_atom_site_label
_atom_site_fract_x
_atom_site_fract_y
_atom_site_fract_z
Hf1 0.000 0.000 0.000
Hf2 0.250 0.750 0.500
Hf3 0.750 0.250 0.500
As1 0.000 0.500 0.500
As2 0.260 0.260 0.000
As3 0.500 0.000 0.500
As4 0.740 0.740 0.000
Pt1 0.114 0.629 0.000
Pt2 0.371 0.371 0.484
Pt3 0.629 0.114 0.000
Pt4 0.886 0.886 0.516
```



No. 7
This entry pairs a crystal structure of ZrFe6Ge6 with its simulated XRD peak list. Radiation: Cu Kα. Structure: a GGA-PBE-relaxed structure.

Most intense lines, 10° ≤ 2θ ≤ 90°, by angle:
2θ (°)	d (Å)	intensity
35.4	2.534	73
39.2	2.297	35
41.1	2.194	52
42.1	2.147	100
44.8	2.022	28
47.1	1.929	76
49.6	1.837	23
68.2	1.376	23
75.0	1.267	33
80.7	1.190	29

Structural model:
```
data_ZrFe6Ge6
_symmetry_space_group_name_H-M 'P 1'
_symmetry_Int_Tables_number 1
_cell_length_a 5.067
_cell_length_b 5.067
_cell_length_c 8.089
_cell_angle_alpha 90.00
_cell_angle_beta 90.00
_cell_angle_gamma 120.00
loop_
_symmetry_equiv_pos_as_xyz
'x,y,z'
loop_
_atom_site_label
_atom_site_fract_x
_atom_site_fract_y
_atom_site_fract_z
Zr1 0.000 0.000 0.000
Fe1 0.000 0.500 0.250
Fe2 0.000 0.500 0.750
Fe3 0.500 0.000 0.250
Fe4 0.500 0.000 0.750
Fe5 0.500 0.500 0.250
Fe6 0.500 0.500 0.750
Ge1 0.000 0.000 0.343
Ge2 0.000 0.000 0.657
Ge3 0.333 0.667 0.000
Ge4 0.333 0.667 0.500
Ge5 0.667 0.333 0.000
Ge6 0.667 0.333 0.500
```



No. 8
This entry pairs a crystal structure of DyYH2O4 with its simulated XRD peak list. Radiation: Cu Kα. Structure: a GGA-PBE-relaxed structure.

Most intense lines, 10° ≤ 2θ ≤ 90°, by angle:
2θ (°)	d (Å)	intensity
15.9	5.585	49
21.9	4.052	35
22.3	3.981	51
29.5	3.026	100
31.3	2.853	50
32.2	2.780	30
33.3	2.691	31
33.6	2.670	55
40.9	2.207	38
52.2	1.751	30

Structural model:
```
data_DyYH2O4
_symmetry_space_group_name_H-M 'P 1'
_symmetry_Int_Tables_number 1
_cell_length_a 4.306
_cell_length_b 3.600
_cell_length_c 5.934
_cell_angle_alpha 90.00
_cell_angle_beta 109.75
_cell_angle_gamma 90.00
loop_
_symmetry_equiv_pos_as_xyz
'x,y,z'
loop_
_atom_site_label
_atom_site_fract_x
_atom_site_fract_y
_atom_site_fract_z
Dy1 0.000 0.000 0.000
Y1 0.673 0.500 0.382
H1 0.328 0.500 0.788
H2 0.346 0.000 0.594
O1 0.091 0.500 0.756
O2 0.105 0.500 0.246
O3 0.568 0.000 0.135
O4 0.583 0.000 0.626
```



No. 9
This entry pairs a crystal structure of AlCoSbH6 with its simulated XRD peak list. Radiation: Cu Kα. Structure: a GGA-PBE-relaxed structure.

Most intense lines, 10° ≤ 2θ ≤ 90°, by angle:
2θ (°)	d (Å)	intensity
23.2	3.842	73
26.8	3.327	20
38.3	2.353	100
45.2	2.006	36
55.2	1.664	18
60.7	1.527	15
69.2	1.358	33
74.0	1.281	11
81.9	1.176	11
86.5	1.125	11

Structural model:
```
data_AlCoSbH6
_symmetry_space_group_name_H-M 'P 1'
_symmetry_Int_Tables_number 1
_cell_length_a 4.705
_cell_length_b 4.705
_cell_length_c 4.705
_cell_angle_alpha 60.00
_cell_angle_beta 60.00
_cell_angle_gamma 60.00
loop_
_symmetry_equiv_pos_as_xyz
'x,y,z'
loop_
_atom_site_label
_atom_site_fract_x
_atom_site_fract_y
_atom_site_fract_z
Al1 0.000 0.000 0.000
Co1 0.750 0.750 0.750
Sb1 0.500 0.500 0.500
H1 0.000 0.000 0.500
H2 0.000 0.500 0.000
H3 0.000 0.500 0.500
H4 0.500 0.000 0.000
H5 0.500 0.000 0.500
H6 0.500 0.500 0.000
```



No. 10
This entry pairs a crystal structure of Er3Zn3CuNiAu with its simulated XRD peak list. Radiation: Cu Kα. Structure: a GGA-PBE-relaxed structure.

Most intense lines, 10° ≤ 2θ ≤ 90°, by angle:
2θ (°)	d (Å)	intensity
14.2	6.225	20
34.4	2.606	100
37.4	2.404	89
38.3	2.353	48
43.6	2.075	27
45.4	1.998	19
48.1	1.892	22
58.8	1.571	25
63.1	1.474	22
70.5	1.336	24

Structural model:
```
data_Er3Zn3CuNiAu
_symmetry_space_group_name_H-M 'P 1'
_symmetry_Int_Tables_number 1
_cell_length_a 7.188
_cell_length_b 7.188
_cell_length_c 3.783
_cell_angle_alpha 90.00
_cell_angle_beta 90.00
_cell_angle_gamma 120.00
loop_
_symmetry_equiv_pos_as_xyz
'x,y,z'
loop_
_atom_site_label
_atom_site_fract_x
_atom_site_fract_y
_atom_site_fract_z
Er1 0.017 0.421 0.000
Er2 0.404 0.983 0.000
Er3 0.579 0.596 0.000
Zn1 0.011 0.763 0.500
Zn2 0.237 0.248 0.500
Zn3 0.752 0.989 0.500
Cu1 0.000 0.000 0.000
Ni1 0.333 0.667 0.500
Au1 0.667 0.333 0.500
```



No. 11
This entry pairs a crystal structure of CoAgAsAu with its simulated XRD peak list. Radiation: Cu Kα. Structure: a GGA-PBE-relaxed structure.

Most intense lines, 10° ≤ 2θ ≤ 90°, by angle:
2θ (°)	d (Å)	intensity
24.2	3.684	20
28.0	3.191	6
40.0	2.256	100
47.2	1.924	11
57.8	1.595	17
63.6	1.464	5
65.4	1.427	3
72.6	1.303	33
77.8	1.228	4
86.2	1.128	11

Structural model:
```
data_CoAgAsAu
_symmetry_space_group_name_H-M 'P 1'
_symmetry_Int_Tables_number 1
_cell_length_a 6.381
_cell_length_b 6.381
_cell_length_c 6.381
_cell_angle_alpha 90.00
_cell_angle_beta 90.00
_cell_angle_gamma 90.00
loop_
_symmetry_equiv_pos_as_xyz
'x,y,z'
loop_
_atom_site_label
_atom_site_fract_x
_atom_site_fract_y
_atom_site_fract_z
Co1 0.000 0.000 0.000
Co2 0.000 0.500 0.500
Co3 0.500 0.000 0.500
Co4 0.500 0.500 0.000
Ag1 0.000 0.000 0.500
Ag2 0.000 0.500 0.000
Ag3 0.500 0.000 0.000
Ag4 0.500 0.500 0.500
As1 0.250 0.250 0.750
As2 0.250 0.750 0.250
As3 0.750 0.250 0.250
As4 0.750 0.750 0.750
Au1 0.250 0.250 0.250
Au2 0.250 0.750 0.750
Au3 0.750 0.250 0.750
Au4 0.750 0.750 0.250
```



No. 12
This entry pairs a crystal structure of NdTcAsO with its simulated XRD peak list. Radiation: Cu Kα. Structure: a GGA-PBE-relaxed structure.

Most intense lines, 10° ≤ 2θ ≤ 90°, by angle:
2θ (°)	d (Å)	intensity
30.1	2.970	100
31.4	2.845	11
33.1	2.707	36
37.6	2.389	39
37.9	2.371	9
45.1	2.012	43
52.6	1.741	40
55.1	1.666	36
65.6	1.423	14
88.8	1.102	19

Structural model:
```
data_NdTcAsO
_symmetry_space_group_name_H-M 'P 1'
_symmetry_Int_Tables_number 1
_cell_length_a 4.023
_cell_length_b 4.023
_cell_length_c 8.805
_cell_angle_alpha 90.00
_cell_angle_beta 90.00
_cell_angle_gamma 90.00
loop_
_symmetry_equiv_pos_as_xyz
'x,y,z'
loop_
_atom_site_label
_atom_site_fract_x
_atom_site_fract_y
_atom_site_fract_z
Nd1 0.250 0.250 0.135
Nd2 0.750 0.750 0.865
Tc1 0.250 0.750 0.500
Tc2 0.750 0.250 0.500
As1 0.250 0.250 0.669
As2 0.750 0.750 0.331
O1 0.250 0.750 0.000
O2 0.750 0.250 0.000
```